This entry pairs a crystal structure of In11Sn with its computed XRD peak list. Radiation: CuKα. Structure: a crystal structure in Alexandria, relaxed with PBE.
Kinematic intensities with the Lorentz-polarization factor, no thermal factor.

The 10 most intense peaks (2θ = 10–90°), in order of rising 2θ:
two_theta  d_spacing  I (rel.)
32.33  2.769  24
33.00  2.714  100
33.75  2.656  48
40.16  2.246  13
47.92  1.898  17
52.92  1.730  12
58.94  1.567  18
59.41  1.556  18
67.68  1.384  24
86.73  1.123  12

Cell lengths 10.8573, 10.8573, 3.2188 Å; angles 90.00, 90.00, 120.00 degrees
Space group P6/mmm (No. 191)
Inequivalent atoms, fractional coordinates:
In  0.0000  0.5000  0.0000 [3 per cell]
In  0.1698  0.3397  0.5000 [6 per cell]
In  0.3333  0.6667  0.0000 [2 per cell]
Sn  0.0000  0.0000  0.0000 [1 per cell]

=====

This entry pairs a crystal structure of VFe3Ni7 with its computed XRD peak list. Radiation: CuKα. Structure: a crystal structure in Alexandria, relaxed with PBE.
Kinematic intensities with the Lorentz-polarization factor, no thermal factor.

The 10 most intense peaks (2θ = 10–90°), in order of rising 2θ:
two_theta  d_spacing  I (rel.)
33.78  2.654  18
38.00  2.368  26
42.11  2.146  100
42.43  2.130  88
45.41  1.997  19
45.54  1.992  20
47.49  1.914  79
47.69  1.907  77
61.32  1.512  52
80.67  1.191  15

Cell lengths 8.5299, 8.5208, 4.2926 Å; angles 90.00, 119.89, 90.00 degrees
Space group C2/m (No. 12)
Inequivalent atoms, fractional coordinates:
V  0.0000  0.0000  0.0000 [2 per cell]
Fe  0.0000  0.2694  0.5000 [4 per cell]
Fe  0.0000  0.5000  0.0000 [2 per cell]
Ni  0.0000  0.0000  0.5000 [2 per cell]
Ni  0.1722  0.2682  0.1726 [8 per cell]
Ni  0.1804  0.5000  0.6758 [4 per cell]

=====

This entry pairs a crystal structure of K5Rb3Hg3 with its computed XRD peak list. Radiation: CuKα. Structure: a crystal structure in Alexandria, relaxed with PBE.
Kinematic intensities with the Lorentz-polarization factor, no thermal factor.

The 10 most intense peaks (2θ = 10–90°), in order of rising 2θ:
two_theta  d_spacing  I (rel.)
12.39  7.141  38
16.21  5.467  100
24.91  3.574  53
28.28  3.156  35
29.89  2.989  48
30.98  2.887  20
35.51  2.528  19
38.05  2.365  32
41.60  2.171  20
42.74  2.116  20

Cell lengths 10.9334, 10.9334, 7.1414 Å; angles 90.00, 90.00, 120.00 degrees
Space group P-62m (No. 189)
Inequivalent atoms, fractional coordinates:
K  0.0000  0.7519  0.0000 [3 per cell]
K  0.3333  0.6667  0.0000 [2 per cell]
Rb  0.0000  0.3947  0.5000 [3 per cell]
Hg  0.0000  0.3706  0.0000 [3 per cell]

=====

This entry pairs a crystal structure of Ce3URu3 with its computed XRD peak list. Radiation: CuKα. Structure: a crystal structure in Alexandria, relaxed with PBE.
Kinematic intensities with the Lorentz-polarization factor, no thermal factor.

The 10 most intense peaks (2θ = 10–90°), in order of rising 2θ:
two_theta  d_spacing  I (rel.)
14.73  6.014  31
30.57  2.924  35
32.05  2.793  89
33.39  2.684  37
33.62  2.665  95
33.78  2.654  100
35.96  2.497  47
36.07  2.490  63
40.17  2.245  75
46.06  1.971  73

Cell lengths 12.0279, 3.9405, 14.4513 Å; angles 90.00, 113.90, 90.00 degrees
Space group C2/m (No. 12)
Inequivalent atoms, fractional coordinates:
Ce  0.0275  0.0000  0.2951 [4 per cell]
Ce  0.1215  0.5000  0.1382 [4 per cell]
Ce  0.1702  0.0000  0.5698 [4 per cell]
U  0.1790  0.5000  0.8912 [4 per cell]
Ru  0.0634  0.5000  0.4320 [4 per cell]
Ru  0.0918  0.0000  0.9611 [4 per cell]
Ru  0.1896  0.5000  0.7292 [4 per cell]

=====

This entry pairs a crystal structure of Ac3PmGe2N6 with its computed XRD peak list. Radiation: CuKα. Structure: a crystal structure in Alexandria, relaxed with PBE.
Kinematic intensities with the Lorentz-polarization factor, no thermal factor.

The 10 most intense peaks (2θ = 10–90°), in order of rising 2θ:
two_theta  d_spacing  I (rel.)
21.21  4.188  25
28.94  3.085  100
31.37  2.852  76
43.20  2.094  38
51.29  1.781  21
52.84  1.733  36
57.29  1.608  14
59.97  1.543  16
69.25  1.357  16
73.11  1.294  14

Cell lengths 6.1702, 6.1702, 6.7450 Å; angles 90.00, 90.00, 120.00 degrees
Space group P-3m1 (No. 164)
Inequivalent atoms, fractional coordinates:
Ac  0.0000  0.0000  0.0000 [1 per cell]
Ac  0.3333  0.6667  0.6323 [2 per cell]
Pm  0.0000  0.0000  0.5000 [1 per cell]
Ge  0.3333  0.6667  0.1703 [2 per cell]
N  0.1758  0.3516  0.2890 [6 per cell]

=====

This entry pairs a crystal structure of SmNp2Sn9 with its computed XRD peak list. Radiation: CuKα. Structure: a crystal structure in Alexandria, relaxed with PBE.
Kinematic intensities with the Lorentz-polarization factor, no thermal factor.

The 10 most intense peaks (2θ = 10–90°), in order of rising 2θ:
two_theta  d_spacing  I (rel.)
18.96  4.679  6
26.95  3.309  5
33.16  2.702  100
38.48  2.340  50
43.23  2.093  3
47.60  1.910  2
55.55  1.654  35
66.24  1.411  42
69.60  1.351  12
82.50  1.169  4

Cell lengths 4.6769, 4.6769, 14.0537 Å; angles 90.00, 90.00, 90.00 degrees
Space group P4/mmm (No. 123)
Inequivalent atoms, fractional coordinates:
Sm  0.0000  0.0000  0.0000 [1 per cell]
Np  0.0000  0.0000  0.3367 [2 per cell]
Sn  0.0000  0.5000  0.1712 [4 per cell]
Sn  0.0000  0.5000  0.5000 [2 per cell]
Sn  0.5000  0.5000  0.0000 [1 per cell]
Sn  0.5000  0.5000  0.3351 [2 per cell]

=====

This entry pairs a crystal structure of CaAc2La3 with its computed XRD peak list. Radiation: CuKα. Structure: a crystal structure in Alexandria, relaxed with PBE.
Kinematic intensities with the Lorentz-polarization factor, no thermal factor.

The 10 most intense peaks (2θ = 10–90°), in order of rising 2θ:
two_theta  d_spacing  I (rel.)
10.48  8.445  8
28.40  3.143  100
32.57  2.749  19
32.91  2.722  17
33.23  2.696  17
46.98  1.934  12
55.61  1.653  11
55.99  1.642  7
56.46  1.630  7
58.80  1.570  10

Cell lengths 6.7005, 8.5360, 8.6193 Å; angles 84.25, 83.07, 83.25 degrees
Space group P-1 (No. 2)
Inequivalent atoms, fractional coordinates:
Ca  0.1238  0.1223  0.1305 [2 per cell]
Ac  0.1243  0.4537  0.7822 [2 per cell]
Ac  0.3810  0.7077  0.0439 [2 per cell]
La  0.1317  0.7908  0.4573 [2 per cell]
La  0.3788  0.0461  0.6888 [2 per cell]
La  0.3815  0.3750  0.3782 [2 per cell]

=====

This entry pairs a crystal structure of MgAgRh2 with its computed XRD peak list. Radiation: CuKα. Structure: a crystal structure in Alexandria, relaxed with PBE.
Kinematic intensities with the Lorentz-polarization factor, no thermal factor.

The 10 most intense peaks (2θ = 10–90°), in order of rising 2θ:
two_theta  d_spacing  I (rel.)
21.54  4.126  11
31.97  2.799  9
35.14  2.554  12
39.02  2.308  30
39.19  2.299  28
41.38  2.182  100
56.50  1.629  19
72.29  1.307  18
72.51  1.304  16
89.91  1.091  10

Cell lengths 2.9389, 4.6166, 9.1952 Å; angles 90.00, 90.00, 90.00 degrees
Space group Immm (No. 71)
Inequivalent atoms, fractional coordinates:
Mg  0.0000  0.0000  0.0000 [2 per cell]
Ag  0.0000  0.0000  0.5000 [2 per cell]
Rh  0.0000  0.5000  0.2625 [4 per cell]

=====

This entry pairs a crystal structure of Na3Zn2Ge4 with its computed XRD peak list. Radiation: CuKα. Structure: a crystal structure in Alexandria, relaxed with PBE.
Kinematic intensities with the Lorentz-polarization factor, no thermal factor.

The 10 most intense peaks (2θ = 10–90°), in order of rising 2θ:
two_theta  d_spacing  I (rel.)
17.32  5.121  100
25.77  3.458  12
30.52  2.929  29
31.85  2.809  15
33.07  2.708  19
35.06  2.559  30
43.44  2.083  12
44.14  2.052  18
44.41  2.040  17
46.84  1.940  11

Cell lengths 4.2497, 6.0734, 8.6790 Å; angles 78.31, 79.55, 72.40 degrees
Space group P-1 (No. 2)
Inequivalent atoms, fractional coordinates:
Na  0.0000  0.0000  0.0000 [1 per cell]
Na  0.3188  0.2841  0.6255 [2 per cell]
Zn  0.4699  0.2792  0.2457 [2 per cell]
Ge  0.0135  0.8630  0.6283 [2 per cell]
Ge  0.3118  0.3978  0.9556 [2 per cell]

=====

This entry pairs a crystal structure of Li2MnAl with its computed XRD peak list. Radiation: CuKα. Structure: a crystal structure in Alexandria, relaxed with PBE.
Kinematic intensities with the Lorentz-polarization factor, no thermal factor.

The 10 most intense peaks (2θ = 10–90°), in order of rising 2θ:
two_theta  d_spacing  I (rel.)
18.98  4.675  100
36.12  2.487  37
38.52  2.337  25
39.95  2.257  23
41.11  2.195  87
44.58  2.032  20
53.83  1.703  21
56.70  1.624  15
71.44  1.320  15
73.34  1.291  13

Cell lengths 2.9799, 4.5138, 9.3497 Å; angles 90.00, 90.00, 90.00 degrees
Space group Cmmm (No. 65)
Inequivalent atoms, fractional coordinates:
Li  0.0000  0.0000  0.2486 [4 per cell]
Mn  0.0000  0.5000  0.0000 [2 per cell]
Al  0.0000  0.5000  0.5000 [2 per cell]

=====

This entry pairs a crystal structure of PrI2 with its computed XRD peak list. Radiation: CuKα. Structure: a crystal structure in Alexandria, relaxed with PBE.
Kinematic intensities with the Lorentz-polarization factor, no thermal factor.

The 10 most intense peaks (2θ = 10–90°), in order of rising 2θ:
two_theta  d_spacing  I (rel.)
10.53  8.402  100
24.29  3.665  31
24.72  3.602  67
27.59  3.233  45
28.99  3.080  45
30.57  2.924  65
32.31  2.771  52
34.17  2.624  57
42.52  2.126  73
54.34  1.688  34

Cell lengths 4.2585, 7.3736, 33.6086 Å; angles 90.00, 90.00, 90.00 degrees
Space group C222_1 (No. 20)
Inequivalent atoms, fractional coordinates:
Pr  0.2435  0.0010  0.1236 [8 per cell]
I  0.2432  0.3322  0.9388 [8 per cell]
I  0.2438  0.3325  0.8141 [8 per cell]

=====

This entry pairs a crystal structure of Pu6Pa with its computed XRD peak list. Radiation: CuKα. Structure: a crystal structure in Alexandria, relaxed with PBE.
Kinematic intensities with the Lorentz-polarization factor, no thermal factor.

The 10 most intense peaks (2θ = 10–90°), in order of rising 2θ:
two_theta  d_spacing  I (rel.)
18.82  4.716  23
26.73  3.335  42
32.90  2.723  100
47.21  1.925  36
51.25  1.782  59
55.08  1.667  33
62.25  1.491  17
65.66  1.422  14
78.56  1.218  18
81.67  1.179  22

Cell lengths 6.6694, 6.6694, 6.6694 Å; angles 90.00, 90.00, 90.00 degrees
Space group Im-3m (No. 229)
Inequivalent atoms, fractional coordinates:
Pu  0.0000  0.2500  0.5000 [12 per cell]
Pa  0.0000  0.0000  0.0000 [2 per cell]